Computed powder diffraction line list of CePaS4 for Cu Kα, from a GGA-PBE-relaxed structure.
Neutral-atom scattering factors, no anomalous dispersion.

Atomic structure:
```
CePaS4
1.0
4.4582 -4.5374 0.0000
4.4582 4.5374 0.0000
0.0000 0.0000 4.1981
Ce Pa S
1 1 4
Direct
0.0000 0.0000 0.0000
0.5000 0.5000 0.5000
0.2037 0.2037 0.5000
0.3152 0.6848 0.0000
0.6848 0.3152 0.0000
0.7963 0.7963 0.5000
```

Main lines, most intense first (2θ from 5° to 70°):
2θ = 25.42°, I = 100; 2θ = 19.56°, I = 70; 2θ = 19.92°, I = 63; 2θ = 38.03°, I = 58; 2θ = 38.41°, I = 52; 2θ = 48.08°, I = 40; 2θ = 28.06°, I = 26; 2θ = 13.92°, I = 16; 2θ = 40.47°, I = 15; 2θ = 43.09°, I = 15



Computed powder diffraction line list of Li2PuTlCl8 for Cu Kα, from a GGA-PBE-relaxed structure.
Neutral-atom scattering factors, no anomalous dispersion.

Atomic structure:
```
Li2PuTlCl8
1.0
6.1892 0.0000 0.0000
0.0000 8.4418 0.0000
-0.4023 0.0000 6.2034
Li Pu Tl Cl
2 1 1 8
Direct
0.0000 0.2418 0.0000
0.0000 0.7582 0.0000
0.5000 0.5000 0.5000
0.5000 0.0000 0.5000
0.1794 0.0000 0.1765
0.1985 0.5000 0.1912
0.2950 0.2768 0.6978
0.2950 0.7232 0.6978
0.7050 0.2768 0.3022
0.7050 0.7232 0.3022
0.8015 0.5000 0.8088
0.8206 0.0000 0.8235
```

Main lines, most intense first (2θ from 5° to 70°):
2θ = 14.31°, I = 100; 2θ = 28.92°, I = 58; 2θ = 25.54°, I = 37; 2θ = 19.62°, I = 33; 2θ = 20.94°, I = 31; 2θ = 33.19°, I = 30; 2θ = 39.64°, I = 29; 2θ = 38.17°, I = 28; 2θ = 21.05°, I = 24; 2θ = 45.39°, I = 15



Computed powder diffraction line list of DyErPa for Cu Kα, from a GGA-PBE-relaxed structure.
Neutral-atom scattering factors, no anomalous dispersion.

Atomic structure:
```
DyErPa
1.0
5.4162 0.0000 0.0000
-2.7081 4.6905 0.0000
0.0000 0.0000 6.7952
Dy Er Pa
2 2 2
Direct
0.3333 0.6667 0.0000
0.6667 0.3333 0.0000
0.0000 0.0000 0.2621
0.0000 0.0000 0.7379
0.3333 0.6667 0.5000
0.6667 0.3333 0.5000
```

Main lines, most intense first (2θ from 5° to 70°):
2θ = 33.08°, I = 100; 2θ = 32.54°, I = 87; 2θ = 58.74°, I = 33; 2θ = 47.08°, I = 32; 2θ = 64.78°, I = 29; 2θ = 59.09°, I = 19; 2θ = 42.70°, I = 16; 2θ = 69.41°, I = 12; 2θ = 26.23°, I = 10; 2θ = 53.98°, I = 8



Computed powder diffraction line list of PrAs3Rh3 for Cu Kα, from a GGA-PBE-relaxed structure.
Neutral-atom scattering factors, no anomalous dispersion.

Atomic structure:
```
PrAs3Rh3
1.0
6.7071 0.0000 0.0000
0.0000 6.7071 0.0000
0.0000 0.0000 6.7071
Pr As Rh
2 6 6
Direct
0.0000 0.0000 0.0000
0.5000 0.5000 0.5000
0.0000 0.2500 0.5000
0.0000 0.7500 0.5000
0.2500 0.5000 0.0000
0.5000 0.0000 0.2500
0.5000 0.0000 0.7500
0.7500 0.5000 0.0000
0.0000 0.5000 0.2500
0.0000 0.5000 0.7500
0.2500 0.0000 0.5000
0.5000 0.2500 0.0000
0.5000 0.7500 0.0000
0.7500 0.0000 0.5000
```

Main lines, most intense first (2θ from 5° to 70°):
2θ = 32.70°, I = 100; 2θ = 50.94°, I = 57; 2θ = 26.58°, I = 43; 2θ = 54.74°, I = 26; 2θ = 46.93°, I = 19; 2θ = 61.87°, I = 16; 2θ = 65.25°, I = 13; 2θ = 29.79°, I = 4; 2θ = 18.71°, I = 4; 2θ = 48.97°, I = 1



> What is the formula in the first record?

CePaS4